For K2CrO4, a PBE+U-relaxed structure gives the computed powder X-ray diffraction pattern in this record (λ = 1.5418 Å (Cu Kα)).
Lines closer than 0.1° are merged.

Structure:
Unit cell a=6.041 b=8.326 c=11.726 alpha=90.00 beta=118.96 gamma=90.00
Atoms (fractional coordinates):
K: 0.050 0.009 0.287
K: 0.050 0.491 0.787
K: 0.285 0.728 0.593
K: 0.285 0.772 0.093
K: 0.715 0.228 0.907
K: 0.715 0.272 0.407
K: 0.950 0.509 0.213
K: 0.950 0.991 0.713
Cr: 0.371 0.233 0.066
Cr: 0.371 0.267 0.566
Cr: 0.629 0.733 0.434
Cr: 0.629 0.767 0.934
O: 0.258 0.202 0.907
O: 0.258 0.298 0.407
O: 0.263 0.093 0.128
O: 0.263 0.407 0.628
O: 0.273 0.087 0.585
O: 0.273 0.413 0.085
O: 0.312 0.729 0.359
O: 0.312 0.771 0.859
O: 0.688 0.229 0.141
O: 0.688 0.271 0.641
O: 0.727 0.587 0.915
O: 0.727 0.913 0.415
O: 0.737 0.593 0.372
O: 0.737 0.907 0.872
O: 0.742 0.702 0.593
O: 0.742 0.798 0.093

Peak list (12 most intense, 2θ from 10° to 90°, in order of rising 2θ)
Position (°2θ), I_rel
20.3, 55
21.3, 37
27.3, 67
27.6, 72
29.6, 100
30.5, 51
31.5, 16
40.4, 18
41.4, 25
43.5, 16
44.3, 15
45.0, 17



For LiVPH4O7, a PBE+U-relaxed structure gives the computed powder X-ray diffraction pattern in this record (λ = 1.5418 Å (Cu Kα)).
Lines closer than 0.1° are merged.

Structure:
Unit cell a=6.428 b=6.428 c=13.149 alpha=90.00 beta=90.00 gamma=90.39
Atoms (fractional coordinates):
Li: 0.121 0.879 0.929
Li: 0.379 0.621 0.429
Li: 0.621 0.379 0.571
Li: 0.879 0.121 0.071
V: 0.123 0.877 0.288
V: 0.377 0.623 0.788
V: 0.623 0.377 0.212
V: 0.877 0.123 0.712
P: 0.127 0.373 0.250
P: 0.373 0.127 0.750
P: 0.627 0.873 0.250
P: 0.873 0.627 0.750
H: 0.069 0.762 0.532
H: 0.208 0.243 0.940
H: 0.238 0.931 0.532
H: 0.243 0.208 0.060
H: 0.257 0.292 0.560
H: 0.262 0.569 0.032
H: 0.292 0.257 0.440
H: 0.431 0.738 0.032
H: 0.569 0.262 0.968
H: 0.708 0.743 0.560
H: 0.738 0.431 0.968
H: 0.743 0.708 0.440
H: 0.757 0.792 0.940
H: 0.762 0.069 0.468
H: 0.792 0.757 0.060
H: 0.931 0.238 0.468
O: 0.068 0.635 0.818
O: 0.108 0.892 0.165
O: 0.133 0.185 0.326
O: 0.135 0.568 0.318
O: 0.162 0.162 0.000
O: 0.172 0.828 0.487
O: 0.185 0.133 0.674
O: 0.315 0.367 0.174
O: 0.328 0.672 0.987
O: 0.338 0.338 0.500
O: 0.365 0.932 0.818
O: 0.367 0.315 0.826
O: 0.392 0.608 0.665
O: 0.432 0.865 0.318
O: 0.568 0.135 0.682
O: 0.608 0.392 0.335
O: 0.633 0.685 0.174
O: 0.635 0.068 0.182
O: 0.662 0.662 0.500
O: 0.672 0.328 0.013
O: 0.685 0.633 0.826
O: 0.815 0.867 0.326
O: 0.828 0.172 0.513
O: 0.838 0.838 0.000
O: 0.865 0.432 0.682
O: 0.867 0.815 0.674
O: 0.892 0.108 0.835
O: 0.932 0.365 0.182

Peak list (12 most intense, 2θ from 10° to 90°, in order of rising 2θ)
Position (°2θ), I_rel
13.5, 100
19.3, 14
24.6, 8
27.1, 12
28.6, 89
30.5, 7
34.6, 27
43.6, 7
44.5, 12
47.2, 7
57.3, 12
59.2, 7



For Li3CrNi2O6, a PBE+U-relaxed structure gives the computed powder X-ray diffraction pattern in this record (λ = 1.5418 Å (Cu Kα)).
Lines closer than 0.1° are merged.

Structure:
Unit cell a=6.596 b=6.596 c=5.808 alpha=102.56 beta=102.56 gamma=25.35
Atoms (fractional coordinates):
Li: 0.000 0.000 0.000
Li: 0.331 0.331 0.674
Li: 0.669 0.669 0.326
Cr: 0.000 0.000 0.500
Ni: 0.334 0.334 0.163
Ni: 0.666 0.666 0.837
O: 0.158 0.158 0.596
O: 0.169 0.169 0.067
O: 0.498 0.498 0.732
O: 0.502 0.502 0.268
O: 0.831 0.831 0.933
O: 0.842 0.842 0.404

Peak list (12 most intense, 2θ from 10° to 90°, in order of rising 2θ)
Position (°2θ), I_rel
18.6, 100
35.7, 17
36.3, 28
37.8, 15
43.3, 27
44.2, 51
48.0, 11
58.4, 9
63.5, 15
63.6, 14
64.4, 7
80.7, 10



For KMnO2, a PBE+U-relaxed structure gives the computed powder X-ray diffraction pattern in this record (λ = 1.5418 Å (Cu Kα)).
Lines closer than 0.1° are merged.

Structure:
Unit cell a=6.540 b=6.683 c=2.907 alpha=90.00 beta=90.00 gamma=90.00
Atoms (fractional coordinates):
K: 0.000 0.000 0.000
K: 0.500 0.500 0.500
Mn: 0.000 0.500 0.500
Mn: 0.500 0.000 0.000
O: 0.158 0.388 0.000
O: 0.342 0.888 0.500
O: 0.658 0.112 0.500
O: 0.842 0.612 0.000

Peak list (12 most intense, 2θ from 10° to 90°, in order of rising 2θ)
Position (°2θ), I_rel
19.0, 38
26.7, 98
27.3, 60
33.6, 50
38.5, 59
43.8, 100
51.7, 33
59.4, 27
62.4, 16
63.3, 11
67.2, 26
77.3, 12